Mg3Ru: computed powder XRD pattern (Cu Kα X-rays), based on a DFT-relaxed cell (GGA-PBE, the Materials Project).
Peak positions follow from Bragg's law for the DFT cell and can differ from measured ones.

Structure:
```
Mg3Ru
1.0
6.539 0.000 0.000
0.000 6.539 0.000
0.000 0.000 6.539
Mg Ru
12 4
direct
0.000 0.000 0.000
0.000 0.500 0.500
0.250 0.250 0.250
0.250 0.250 0.750
0.250 0.750 0.250
0.250 0.750 0.750
0.500 0.000 0.500
0.500 0.500 0.000
0.750 0.250 0.250
0.750 0.250 0.750
0.750 0.750 0.250
0.750 0.750 0.750
0.000 0.000 0.500
0.000 0.500 0.000
0.500 0.000 0.000
0.500 0.500 0.500
```

Most intense lines, 10 to 90 degrees two-theta, in order of falling intensity:
- 2θ = 38.96°, intensity 100
- 2θ = 23.57°, intensity 47
- 2θ = 70.56°, intensity 33
- 2θ = 27.28°, intensity 24
- 2θ = 46.04°, intensity 23
- 2θ = 56.28°, intensity 17
- 2θ = 83.66°, intensity 10
- 2θ = 61.85°, intensity 9
- 2θ = 63.64°, intensity 9
- 2θ = 88.45°, intensity 7